# 1
Li3BePCO7: simulated X-ray powder pattern (Cu Kα (weighted mean of Kα1 and Kα2)), based on a structure optimized by DFT (GGA-PBE).
Intensities are scaled so that the largest is 100.

Principal peaks in the range 10° ≤ 2θ ≤ 80°, by angle:
- 10.85°, I 12, hkl 0 0 1
- 18.73°, I 15, hkl 1 0 0
- 21.60°, I 12, hkl 1 0 -1
- 21.80°, I 25, hkl 1 0 1
- 25.04°, I 29, hkl 1 1 -1
- 25.20°, I 100, hkl 0 2 0
- 27.50°, I 23, hkl 0 2 1
- 33.55°, I 16, hkl 1 2 1
- 37.99°, I 21, hkl 2 0 0
- 40.16°, I 17, hkl 1 1 -3

Structural model:
```
Li3BePCO7
1.0
4.738 0.000 0.000
0.000 7.071 0.000
-0.085 0.000 8.151
Li Be P C O
6 2 2 2 14
direct
0.065 0.000 0.044 Li
0.392 0.285 0.808 Li
0.433 0.137 0.440 Li
0.567 0.637 0.560 Li
0.608 0.785 0.192 Li
0.935 0.500 0.956 Li
0.050 0.846 0.710 Be
0.950 0.346 0.290 Be
0.055 0.754 0.362 P
0.945 0.254 0.638 P
0.453 0.320 0.132 C
0.547 0.820 0.868 C
0.053 0.418 0.744 O
0.067 0.263 0.460 O
0.072 0.073 0.723 O
0.178 0.285 0.135 O
0.378 0.750 0.374 O
0.389 0.771 0.744 O
0.442 0.895 0.996 O
0.558 0.395 0.004 O
0.611 0.271 0.256 O
0.622 0.250 0.626 O
0.822 0.785 0.865 O
0.928 0.573 0.277 O
0.933 0.763 0.540 O
0.947 0.918 0.256 O
```

# 2
MnBeC: simulated X-ray powder pattern (Cu Kα (weighted mean of Kα1 and Kα2)), based on a structure optimized by DFT (GGA-PBE).
Intensities are scaled so that the largest is 100.

Principal peaks in the range 10° ≤ 2θ ≤ 80°, by angle:
- 23.63°, I 11, hkl 1 0 1
- 32.76°, I 100, hkl 1 1 0
- 34.55°, I 65, hkl 1 0 2
- 47.97°, I 18, hkl 1 0 3
- 48.35°, I 37, hkl 2 0 2
- 58.48°, I 26, hkl 3 0 0
- 59.62°, I 34, hkl 0 0 4
- 68.67°, I 10, hkl 2 2 0
- 69.43°, I 8, hkl 2 1 3
- 79.20°, I 10, hkl 3 1 2

Structural model:
```
MnBeC
1.0
5.467 0.000 0.000
-2.733 4.734 0.000
0.000 0.000 6.210
Mn Be C
6 6 6
direct
0.000 0.000 0.250 Mn
0.000 0.000 0.750 Mn
0.333 0.667 0.047 Mn
0.333 0.667 0.453 Mn
0.667 0.333 0.547 Mn
0.667 0.333 0.953 Mn
0.071 0.459 0.750 Be
0.387 0.929 0.750 Be
0.459 0.071 0.250 Be
0.541 0.613 0.750 Be
0.613 0.541 0.250 Be
0.929 0.387 0.250 Be
0.000 0.300 0.000 C
0.000 0.300 0.500 C
0.300 0.000 0.000 C
0.300 0.000 0.500 C
0.700 0.700 0.000 C
0.700 0.700 0.500 C
```

# 3
BeCN: simulated X-ray powder pattern (Cu Kα (weighted mean of Kα1 and Kα2)), based on a structure optimized by DFT (GGA-PBE).
Intensities are scaled so that the largest is 100.

Principal peaks in the range 10° ≤ 2θ ≤ 80°, by angle:
- 24.62°, I 75, hkl 2 0 0
- 35.61°, I 100, hkl 1 1 0
- 39.89°, I 31, hkl 2 0 -1
- 50.87°, I 20, hkl 3 1 0
- 54.06°, I 6, hkl 2 0 1
- 57.60°, I 6, hkl 1 1 1
- 57.74°, I 7, hkl 3 1 -1
- 69.94°, I 8, hkl 0 2 0
- 74.69°, I 12, hkl 3 1 1
- 74.93°, I 12, hkl 5 1 -1

Structural model:
```
BeCN
1.0
7.604 0.000 0.000
0.000 2.690 0.000
-0.736 0.000 2.262
Be C N
2 2 2
direct
0.000 0.000 0.000 Be
0.500 0.500 0.000 Be
0.242 0.000 0.243 C
0.742 0.500 0.243 C
0.351 0.000 0.851 N
0.851 0.500 0.851 N
```

# 4
BeCN: simulated X-ray powder pattern (Cu Kα (weighted mean of Kα1 and Kα2)), based on a structure optimized by DFT (GGA-PBE).
Intensities are scaled so that the largest is 100.

Principal peaks in the range 10° ≤ 2θ ≤ 80°, by angle:
- 24.99°, I 13, hkl 0 0 1
- 35.92°, I 100, hkl 0 1 0
- 36.55°, I 76, hkl 1 0 -1
- 40.63°, I 20, hkl 1 -1 0
- 48.29°, I 20, hkl -1 1 1
- 62.13°, I 8, hkl 1 1 0
- 67.39°, I 8, hkl 1 -1 2
- 70.51°, I 13, hkl 0 2 -1
- 71.66°, I 7, hkl -2 1 1
- 76.02°, I 8, hkl 1 0 2

Structural model:
```
BeCN
1.0
2.738 0.000 0.000
-0.812 2.670 0.000
-0.963 -1.332 3.563
Be C N
1 1 1
direct
0.000 0.000 0.000 Be
0.817 0.311 0.637 C
0.643 0.141 0.289 N
```